This entry pairs a crystal structure of ScPb3F8 with its theoretical powder diffractogram. Radiation: Cu Kα X-rays. Structure: a crystal structure in Alexandria, relaxed with GGA-PBE.
Neutral-atom scattering factors, no anomalous dispersion.

Largest 10 diffraction maxima, by angle, 2θ from 10° to 90°:
2θ/deg, I (rel.), index
21.61, 13, 1 1 0
26.55, 100, 1 1 1
30.75, 31, 2 0 0
34.49, 13, 2 1 0
44.05, 56, 2 2 0
52.17, 48, 3 1 1
70.61, 20, 3 3 1
72.73, 14, 4 2 0
81.01, 17, 4 2 2
87.09, 16, 5 1 1

Structural model:
abc: 5.814 5.814 5.814
angles: 90.00 90.00 90.00
Space group Pm-3m (No. 221)
Unique sites:
Sc  0.000  0.000  0.000 [1 per cell]
Pb  0.000  0.500  0.500 [3 per cell]
F  0.218  0.218  0.218 [8 per cell]